1.
For Tb4ErN4, a DFT-relaxed cell (PBE, Alexandria) gives the calculated powder diffractogram in this record (Cu Kα X-rays).

Most intense lines, 10 to 90 degrees two-theta, sorted by position:
2θ 21.23, I 16
2θ 31.29, I 1000
2θ 36.29, I 667
2θ 52.25, I 453
2θ 62.18, I 426
2θ 65.28, I 148
2θ 67.10, I 13
2θ 77.04, I 68
2θ 85.48, I 175
2θ 88.26, I 197

Structure:
```
Tb4ErN4
1.0
-3.9143 3.9143 2.4761
3.9143 -3.9143 2.4761
3.9143 3.9143 -2.4761
Tb Er N
4 1 4
Cartesian
2.4368 0.8547 0.0000
3.0596 -1.4775 2.4761
0.8547 5.3917 0.0000
1.4775 3.0596 2.4761
0.0000 0.0000 2.4761
4.6739 1.6052 0.0000
1.6052 3.1547 0.0000
2.3090 0.7596 2.4761
-0.7596 2.3090 2.4761
```


2.
For CdPd5Pb2, a DFT-relaxed cell (PBE, Alexandria) gives the calculated powder diffractogram in this record (Cu Kα X-rays).

Most intense lines, 10 to 90 degrees two-theta, sorted by position:
2θ 36.15, I 1000
2θ 39.44, I 755
2θ 39.70, I 741
2θ 51.63, I 180
2θ 52.49, I 171
2θ 62.06, I 87
2θ 67.04, I 313
2θ 67.59, I 305
2θ 73.98, I 207
2θ 76.72, I 111

Structure:
```
CdPd5Pb2
1.0
0.0000 3.5408 5.9824
3.4869 0.0000 5.9824
3.4869 3.5408 0.0000
Cd Pd Pb
1 5 2
Cartesian
0.0000 0.0000 0.0000
1.7435 1.7704 1.4417
1.7435 1.7704 4.5407
3.4869 3.5408 5.9824
5.2304 5.3111 7.4240
5.2304 5.3111 10.5230
3.4869 3.5408 3.1352
3.4869 3.5408 8.8295
```


3.
For La5TmSn3, a DFT-relaxed cell (PBE, Alexandria) gives the calculated powder diffractogram in this record (Cu Kα X-rays).

Most intense lines, 10 to 90 degrees two-theta, sorted by position:
2θ 31.79, I 1000
2θ 41.43, I 37
2θ 45.58, I 178
2θ 53.24, I 41
2θ 56.62, I 285
2θ 63.33, I 155
2θ 66.37, I 61
2θ 75.50, I 80
2θ 81.43, I 71
2θ 84.22, I 30

Structure:
```
La5TmSn3
1.0
9.7577 0.0000 0.0000
-4.8788 8.4504 0.0000
0.0000 0.0000 6.8826
La Tm Sn
10 2 6
Cartesian
-1.5787 2.7344 1.7206
-3.3001 5.7160 5.1619
3.1574 0.0000 1.7206
1.5787 2.7344 5.1619
0.0000 5.6336 0.0000
0.0000 5.6336 3.4413
4.8788 2.8168 0.0000
4.8788 2.8168 3.4413
6.6003 0.0000 5.1619
3.3001 5.7160 1.7206
0.0000 0.0000 0.0000
0.0000 0.0000 3.4413
-1.6542 2.8652 5.1619
-3.2246 5.5851 1.7206
3.3085 0.0000 5.1619
1.6542 2.8652 1.7206
6.4492 0.0000 1.7206
3.2246 5.5851 5.1619
```


4.
For NaSr5Rh2, a DFT-relaxed cell (PBE, Alexandria) gives the calculated powder diffractogram in this record (Cu Kα X-rays).

Most intense lines, 10 to 90 degrees two-theta, sorted by position:
2θ 10.73, I 680
2θ 12.47, I 641
2θ 22.31, I 542
2θ 25.16, I 465
2θ 30.33, I 1000
2θ 32.59, I 551
2θ 34.09, I 954
2θ 38.96, I 391
2θ 40.69, I 543
2θ 71.77, I 314

Structure:
```
NaSr5Rh2
1.0
-2.3117 3.9325 8.2436
2.3117 -3.9325 8.2436
2.3117 3.9325 -8.2436
Na Sr Rh
1 5 2
Cartesian
0.0000 0.0000 0.0000
2.3117 1.9828 -2.6656
2.3117 1.9828 2.6656
0.0000 3.9325 0.0000
0.0000 1.9496 5.5780
0.0000 1.9496 10.9091
2.3117 0.0000 5.2091
0.0000 3.9325 3.0344
```


5.
For ReMoP2, a DFT-relaxed cell (PBE, Alexandria) gives the calculated powder diffractogram in this record (Cu Kα X-rays).

Most intense lines, 10 to 90 degrees two-theta, sorted by position:
2θ 15.46, I 227
2θ 29.25, I 891
2θ 31.22, I 397
2θ 36.86, I 742
2θ 43.37, I 1000
2θ 49.06, I 428
2θ 58.25, I 244
2θ 64.04, I 345
2θ 70.95, I 219
2θ 79.54, I 210

Structure:
```
ReMoP2
1.0
-1.5832 1.5846 5.7297
1.5832 -1.5846 5.7297
1.5832 1.5846 -5.7297
Re Mo P
1 1 2
Cartesian
0.0000 0.0000 0.0000
0.0000 1.5846 2.8569
1.5832 0.0000 1.8737
0.0000 0.0000 4.7343
```


6.
For Cu5AuI12, a DFT-relaxed cell (PBE, Alexandria) gives the calculated powder diffractogram in this record (Cu Kα X-rays).

Most intense lines, 10 to 90 degrees two-theta, sorted by position:
2θ 12.21, I 576
2θ 24.56, I 138
2θ 27.37, I 122
2θ 27.97, I 1000
2θ 31.24, I 263
2θ 36.49, I 150
2θ 36.64, I 169
2θ 40.13, I 221
2θ 43.13, I 169
2θ 46.57, I 314

Structure:
```
Cu5AuI12
1.0
3.3431 -6.2922 0.0000
3.3431 6.2922 0.0000
-0.0589 0.0000 14.5012
Cu Au I
5 1 12
Cartesian
0.0000 0.0000 0.0000
3.3136 4.1520 7.2506
3.3431 2.0857 0.0000
3.3431 -2.0857 0.0000
3.3136 -4.1520 7.2506
3.3136 0.0000 7.2506
1.2118 2.0982 12.9134
1.9915 2.1694 5.6052
1.1639 0.0000 8.8824
2.0737 0.0000 1.5852
1.2118 -2.0982 12.9134
1.9915 -2.1694 5.6052
4.6358 2.1694 8.8960
5.4155 2.0982 1.5877
4.5535 0.0000 12.9159
5.4633 0.0000 5.6188
4.6358 -2.1694 8.8960
5.4155 -2.0982 1.5877
```


7.
For CsBaTl4Sb2, a DFT-relaxed cell (PBE, Alexandria) gives the calculated powder diffractogram in this record (Cu Kα X-rays).

Most intense lines, 10 to 90 degrees two-theta, sorted by position:
2θ 12.88, I 297
2θ 19.45, I 89
2θ 25.92, I 168
2θ 29.17, I 1000
2θ 31.95, I 155
2θ 37.15, I 588
2θ 45.89, I 148
2θ 47.78, I 133
2θ 53.60, I 131
2θ 62.19, I 239

Structure:
```
CsBaTl4Sb2
1.0
4.8360 0.0000 0.0000
0.0000 4.8360 0.0000
0.0000 0.0000 13.7478
Cs Ba Tl Sb
1 1 4 2
Cartesian
0.0000 0.0000 0.0000
0.0000 0.0000 6.8739
0.0000 2.4180 3.2193
0.0000 2.4180 10.5285
2.4180 0.0000 3.2193
2.4180 0.0000 10.5285
2.4180 2.4180 5.3826
2.4180 2.4180 8.3652
```


8.
For AcZnRuO6, a DFT-relaxed cell (PBE, Alexandria) gives the calculated powder diffractogram in this record (Cu Kα X-rays).

Most intense lines, 10 to 90 degrees two-theta, sorted by position:
2θ 19.24, I 147
2θ 25.73, I 1000
2θ 33.65, I 312
2θ 42.84, I 240
2θ 48.75, I 338
2θ 55.55, I 239
2θ 56.31, I 108
2θ 60.18, I 100
2θ 76.67, I 97
2θ 77.32, I 92

Structure:
```
AcZnRuO6
1.0
5.3263 0.0000 0.0000
-2.6631 4.6127 0.0000
0.0000 0.0000 5.2407
Ac Zn Ru O
1 1 1 6
Cartesian
0.0000 0.0000 0.0000
0.0000 3.0751 2.6203
2.6631 1.5376 2.6203
1.9994 0.1125 3.7126
1.0971 1.6753 1.5281
3.3269 0.1125 1.5281
1.7609 2.8249 3.7126
4.2292 1.6753 3.7126
3.5654 2.8249 1.5281
```